[1]
The following is a theoretical powder X-ray diffraction pattern of Th3SiGe. It was derived from a GGA-PBE-relaxed structure, using Cu Ka.
Intensities are scaled so that the largest is 100.

Top 6 peaks for 5° ≤ 2θ ≤ 70°, sorted by position:
2θ = 26.71°, rel. 34, (0 2 1)
2θ = 31.20°, rel. 100, (2 2 1)
2θ = 33.23°, rel. 93, (3 1 1)
2θ = 35.78°, rel. 33, (2 4 0)
2θ = 43.57°, rel. 23, (0 0 2)
2θ = 57.64°, rel. 28, (2 4 2)

Crystal structure
```
data_Th3SiGe
_symmetry_space_group_name_H-M 'C m m m'
_symmetry_Int_Tables_number 65
_symmetry_space_group_name_Hall '-C 2 2'
_cell_length_a 11.1722
_cell_length_b 11.2360
_cell_length_c 4.1543
_cell_angle_alpha 90.00
_cell_angle_beta 90.00
_cell_angle_gamma 90.00
loop_
_atom_site_label
_atom_site_type_symbol
_atom_site_fract_x
_atom_site_fract_y
_atom_site_fract_z
Th1 Th 0.0000 0.1765 0.0000
Th2 Th 0.1830 0.5000 0.0000
Th3 Th 0.2500 0.2500 0.5000
Si1 Si 0.1140 0.0000 0.5000
Ge1 Ge 0.0000 0.3814 0.5000
```

[2]
The following is a theoretical powder X-ray diffraction pattern of AcPrErLu. It was derived from a GGA-PBE-relaxed structure, using Cu Ka.
Intensities are scaled so that the largest is 100.

Top 6 peaks for 5° ≤ 2θ ≤ 70°, sorted by position:
2θ = 18.61°, rel. 3, (1 1 1)
2θ = 30.61°, rel. 100, (2 2 0)
2θ = 36.06°, rel. 2, (3 1 1)
2θ = 43.84°, rel. 19, (4 0 0)
2θ = 54.42°, rel. 40, (4 2 2)
2θ = 63.74°, rel. 13, (4 4 0)

Crystal structure
```
data_AcPrErLu
_symmetry_space_group_name_H-M 'F -4 3 m'
_symmetry_Int_Tables_number 216
_symmetry_space_group_name_Hall 'F -4 2 3'
_cell_length_a 8.2598
_cell_length_b 8.2598
_cell_length_c 8.2598
_cell_angle_alpha 90.00
_cell_angle_beta 90.00
_cell_angle_gamma 90.00
loop_
_atom_site_label
_atom_site_type_symbol
_atom_site_fract_x
_atom_site_fract_y
_atom_site_fract_z
Ac1 Ac 0.0000 0.0000 0.0000
Pr1 Pr 0.0000 0.0000 0.5000
Er1 Er 0.2500 0.2500 0.7500
Lu1 Lu 0.2500 0.2500 0.2500
```

[3]
The following is a theoretical powder X-ray diffraction pattern of Ce6In2Pb. It was derived from a GGA-PBE-relaxed structure, using Cu Ka.
Intensities are scaled so that the largest is 100.

Top 6 peaks for 5° ≤ 2θ ≤ 70°, sorted by position:
2θ = 32.60°, rel. 69, (1 -1 1)
2θ = 32.80°, rel. 64, (-1 1 2)
2θ = 33.20°, rel. 66, (0 0 3)
2θ = 33.47°, rel. 100, (1 2 2)
2θ = 35.04°, rel. 34, (1 2 -1)
2θ = 46.80°, rel. 22, (0 3 4)

Crystal structure
```
data_Ce6In2Pb
_symmetry_space_group_name_H-M 'P -1'
_symmetry_Int_Tables_number 2
_symmetry_space_group_name_Hall '-P 1'
_cell_length_a 3.7788
_cell_length_b 8.1553
_cell_length_c 8.6388
_cell_angle_alpha 69.74
_cell_angle_beta 89.23
_cell_angle_gamma 80.19
loop_
_atom_site_label
_atom_site_type_symbol
_atom_site_fract_x
_atom_site_fract_y
_atom_site_fract_z
Ce1 Ce 0.0064 0.4042 0.3391
Ce2 Ce 0.1017 0.1506 0.0139
Ce3 Ce 0.2230 0.8860 0.6881
In1 In 0.4073 0.7692 0.3267
Pb1 Pb 0.5000 0.5000 0.0000
```